For MnSb2Pd8, a GGA-PBE-relaxed structure gives the calculated X-ray powder pattern in this record (Cu Kα, 1.54184 Å).
Neutral-atom scattering factors, no anomalous dispersion.

Main lines, in order of rising 2θ (5° ≤ 2θ ≤ 70°):
2θ 29.71, 3.007 Å, rel. 37
2θ 36.24, 2.479 Å, rel. 66
2θ 36.50, 2.462 Å, rel. 74
2θ 37.67, 2.388 Å, rel. 91
2θ 39.11, 2.303 Å, rel. 33
2θ 39.53, 2.280 Å, rel. 49
2θ 40.42, 2.232 Å, rel. 41
2θ 42.65, 2.120 Å, rel. 100

Structure:
```
MnSb2Pd8
1.0
3.7219 -6.0486 0.0000
3.7219 6.0486 0.0000
-1.6570 0.0000 4.2377
Mn Sb Pd
1 2 8
Cartesian
0.0000 0.0000 0.0000
2.8934 2.2360 2.1188
2.8934 -2.2360 2.1188
0.4614 1.3891 2.5812
3.7219 3.4423 0.0000
0.4614 -1.3891 2.5812
2.5236 0.0000 0.7457
3.2632 0.0000 3.4920
5.3254 1.3891 1.6564
3.7219 -3.4423 0.0000
5.3254 -1.3891 1.6564
```